No. 1
The following is a theoretical PXRD pattern of Nd4Pb2N. It was derived from a cell relaxed with GGA-PBE, using CuKα.

```
data_Nd4Pb2N
_symmetry_space_group_name_H-M 'P 1 21/m 1'
_symmetry_Int_Tables_number 11
_symmetry_space_group_name_Hall '-P 2yb'
_cell_length_a 6.781
_cell_length_b 6.986
_cell_length_c 9.591
_cell_angle_alpha 90.00
_cell_angle_beta 110.31
_cell_angle_gamma 90.00
loop_
_atom_site_label
_atom_site_fract_x
_atom_site_fract_y
_atom_site_fract_z
Nd1 0.181 0.250 0.048
Nd2 0.240 0.501 0.719
Nd3 0.270 0.750 0.342
Pb1 0.234 0.250 0.410
Pb2 0.340 0.750 0.032
N1 0.087 0.250 0.792
```

The 10 most intense peaks (15 to 90 degrees two-theta), sorted by position:
two_theta	I (rel.)
25.5	187
28.1	530
28.2	303
29.2	423
29.8	236
30.9	213
31.0	201
32.5	1000
37.3	213
60.5	229

No. 2
The following is a theoretical PXRD pattern of Ga6AgHg. It was derived from a cell relaxed with GGA-PBE, using CuKα.

```
data_Ga6AgHg
_symmetry_space_group_name_H-M 'P m m 2'
_symmetry_Int_Tables_number 25
_symmetry_space_group_name_Hall 'P 2 -2'
_cell_length_a 2.861
_cell_length_b 8.354
_cell_length_c 7.376
_cell_angle_alpha 90.00
_cell_angle_beta 90.00
_cell_angle_gamma 90.00
loop_
_atom_site_label
_atom_site_fract_x
_atom_site_fract_y
_atom_site_fract_z
Ga1 0.000 0.000 0.000
Ga2 0.000 0.242 0.486
Ga3 0.500 0.235 0.810
Ga4 0.500 0.500 0.351
Ag1 0.500 0.000 0.319
Hg1 0.000 0.500 0.998
```

The 10 most intense peaks (15 to 90 degrees two-theta), sorted by position:
two_theta	I (rel.)
16.0	209
24.1	294
24.5	682
39.9	536
40.1	1000
42.7	542
43.3	265
59.7	160
60.3	298
81.1	170

No. 3
The following is a theoretical PXRD pattern of DyScZn3. It was derived from a cell relaxed with GGA-PBE, using CuKα.

```
data_DyScZn3
_symmetry_space_group_name_H-M 'C 1 2/m 1'
_symmetry_Int_Tables_number 12
_symmetry_space_group_name_Hall '-C 2y'
_cell_length_a 17.091
_cell_length_b 4.372
_cell_length_c 5.446
_cell_angle_alpha 90.00
_cell_angle_beta 102.57
_cell_angle_gamma 90.00
loop_
_atom_site_label
_atom_site_fract_x
_atom_site_fract_y
_atom_site_fract_z
Dy1 0.072 0.000 0.303
Sc1 0.223 0.500 0.677
Zn1 0.054 0.500 0.755
Zn2 0.147 0.000 0.853
Zn3 0.176 0.500 0.149
```

The 10 most intense peaks (15 to 90 degrees two-theta), sorted by position:
two_theta	I (rel.)
21.0	215
29.0	312
32.9	503
33.8	729
35.1	1000
39.0	393
40.6	559
41.3	526
53.9	184
54.3	184

No. 4
The following is a theoretical PXRD pattern of SmPu3Tl4S8. It was derived from a cell relaxed with GGA-PBE, using CuKα.

```
data_SmPu3Tl4S8
_symmetry_space_group_name_H-M 'R -3 m'
_symmetry_Int_Tables_number 166
_symmetry_space_group_name_Hall '-R 3 2"'
_cell_length_a 8.1942
_cell_length_b 8.1942
_cell_length_c 22.3895
_cell_angle_alpha 90.00
_cell_angle_beta 90.00
_cell_angle_gamma 120.00
loop_
_atom_site_label
_atom_site_fract_x
_atom_site_fract_y
_atom_site_fract_z
Sm1 0.0000 0.0000 0.0000
Pu1 0.0000 0.5000 0.0000
Tl1 0.0000 0.0000 0.5000
Tl2 0.0000 0.5000 0.5000
S1 0.0000 0.0000 0.2691
S2 0.0038 0.5019 0.2673
```

The 10 most intense peaks (15 to 90 degrees two-theta), sorted by position:
two_theta	I (rel.)
23.8	328
26.3	718
29.8	1000
41.1	390
44.2	350
48.1	182
50.8	276
54.2	188
68.0	161
72.5	160